This entry pairs a crystal structure of CsBr3Cl12 with its computed PXRD pattern. Radiation: Cu Kα, 1.54184 Å. Structure: DFT lattice parameters and positions (GGA-PBE).
Intensities are scaled so that the largest is 100.

Structural model:
```
data_CsBr3Cl12
_space_group_name_H-M_alt 'P 1'
_space_group_IT_number 1
_cell_length_a 15.435
_cell_length_b 15.435
_cell_length_c 15.435
_cell_angle_alpha 43.91
_cell_angle_beta 43.91
_cell_angle_gamma 43.91
loop_
_space_group_symop_operation_xyz
'x,y,z'
loop_
_atom_site_label
_atom_site_fract_x
_atom_site_fract_y
_atom_site_fract_z
Cs1 0.000 0.000 0.000
Cs2 0.500 0.500 0.500
Br1 0.134 0.375 0.705
Br2 0.205 0.875 0.634
Br3 0.375 0.705 0.134
Br4 0.634 0.205 0.875
Br5 0.705 0.134 0.375
Br6 0.875 0.634 0.205
Cl1 0.016 0.087 0.602
Cl2 0.067 0.309 0.669
Cl3 0.087 0.602 0.016
Cl4 0.102 0.587 0.516
Cl5 0.149 0.885 0.191
Cl6 0.169 0.809 0.567
Cl7 0.191 0.149 0.885
Cl8 0.196 0.438 0.751
Cl9 0.251 0.938 0.696
Cl10 0.309 0.669 0.067
Cl11 0.385 0.649 0.691
Cl12 0.438 0.751 0.196
Cl13 0.516 0.102 0.587
Cl14 0.567 0.169 0.809
Cl15 0.587 0.516 0.102
Cl16 0.602 0.016 0.087
Cl17 0.649 0.691 0.385
Cl18 0.669 0.067 0.309
Cl19 0.691 0.385 0.649
Cl20 0.696 0.251 0.938
Cl21 0.751 0.196 0.438
Cl22 0.809 0.567 0.169
Cl23 0.885 0.191 0.149
Cl24 0.938 0.696 0.251
```

Main lines, by intensity (10 to 90 degrees two-theta):
two_theta	d_spacing	intensity
16.6	5.331	100
19.7	4.508	46
20.0	4.443	45
26.8	3.332	45
12.7	6.961	34
36.2	2.481	26
23.6	3.762	25
18.3	4.860	24
25.6	3.481	24
41.9	2.154	23

---

This entry pairs a crystal structure of Ac10Tb4Sm with its computed PXRD pattern. Radiation: Cu Kα, 1.54184 Å. Structure: DFT lattice parameters and positions (GGA-PBE).
Intensities are scaled so that the largest is 100.

Structural model:
```
data_Ac10Tb4Sm
_space_group_name_H-M_alt 'P 1'
_space_group_IT_number 1
_cell_length_a 10.166
_cell_length_b 10.166
_cell_length_c 10.166
_cell_angle_alpha 99.58
_cell_angle_beta 99.58
_cell_angle_gamma 131.84
loop_
_space_group_symop_operation_xyz
'x,y,z'
loop_
_atom_site_label
_atom_site_fract_x
_atom_site_fract_y
_atom_site_fract_z
Ac1 0.049 0.349 0.899
Ac2 0.149 0.049 0.699
Ac3 0.250 0.750 0.500
Ac4 0.349 0.450 0.301
Ac5 0.450 0.149 0.101
Ac6 0.550 0.851 0.899
Ac7 0.651 0.550 0.699
Ac8 0.750 0.250 0.500
Ac9 0.851 0.951 0.301
Ac10 0.951 0.651 0.101
Tb1 0.100 0.700 0.800
Tb2 0.300 0.100 0.400
Tb3 0.700 0.900 0.600
Tb4 0.900 0.300 0.200
Sm1 0.500 0.500 0.000
```

Main lines, by intensity (10 to 90 degrees two-theta):
two_theta	d_spacing	intensity
30.5	2.934	100
54.1	1.694	41
21.4	4.150	27
88.1	1.109	22
43.6	2.075	19
72.0	1.312	18
18.5	4.792	15
63.4	1.467	13
49.1	1.856	13
35.9	2.502	9

---

This entry pairs a crystal structure of Pm8ErTm2 with its computed PXRD pattern. Radiation: Cu Kα, 1.54184 Å. Structure: DFT lattice parameters and positions (GGA-PBE).
Intensities are scaled so that the largest is 100.

Structural model:
```
data_Pm8ErTm2
_space_group_name_H-M_alt 'P 1'
_space_group_IT_number 1
_cell_length_a 9.021
_cell_length_b 9.021
_cell_length_c 6.680
_cell_angle_alpha 99.44
_cell_angle_beta 99.44
_cell_angle_gamma 43.97
loop_
_space_group_symop_operation_xyz
'x,y,z'
loop_
_atom_site_label
_atom_site_fract_x
_atom_site_fract_y
_atom_site_fract_z
Pm1 0.094 0.094 0.913
Pm2 0.151 0.675 0.596
Pm3 0.256 0.256 0.680
Pm4 0.325 0.849 0.404
Pm5 0.675 0.151 0.596
Pm6 0.744 0.744 0.320
Pm7 0.849 0.325 0.404
Pm8 0.906 0.906 0.087
Er1 0.500 0.500 0.000
Tm1 0.303 0.303 0.194
Tm2 0.697 0.697 0.806
```

Main lines, by intensity (10 to 90 degrees two-theta):
two_theta	d_spacing	intensity
31.0	2.880	100
32.6	2.750	76
32.0	2.795	56
29.7	3.004	47
30.2	2.960	45
23.4	3.805	20
28.6	3.124	20
34.3	2.611	18
62.0	1.496	18
63.9	1.457	17